For NdErTmZn, a cell relaxed with PBE gives the computed powder diffraction line list in this record (CuKα).

Atomic structure:
a b c (Å): 3.551 3.551 8.718
angles (deg): 90.00 90.00 90.00
Fractional coordinates of all 4 atoms:
Nd 0.000 0.000 0.000
Er 0.500 0.500 0.700
Tm 0.500 0.500 0.299
Zn 0.000 0.000 0.498

Peak list (8 most intense, 2θ from 10° to 80°, low angle first)
2θ/deg, d_spacing, I/Imax
27.1, 3.288, 21
30.8, 2.906, 14
32.5, 2.753, 100
35.8, 2.511, 49
47.9, 1.900, 17
51.5, 1.775, 17
59.0, 1.565, 13
62.2, 1.492, 31



For Nd4Y9Er11, a cell relaxed with PBE gives the computed powder diffraction line list in this record (CuKα).

Atomic structure:
a b c (Å): 15.057 15.057 3.691
angles (deg): 90.00 90.00 112.67
Fractional coordinates of all 24 atoms:
Nd 0.054 0.254 0.000
Nd 0.254 0.054 0.000
Nd 0.746 0.946 0.000
Nd 0.946 0.746 0.000
Y 0.000 0.000 0.000
Y 0.134 0.662 0.000
Y 0.288 0.434 0.000
Y 0.338 0.866 0.000
Y 0.434 0.288 0.000
Y 0.566 0.712 0.000
Y 0.662 0.134 0.000
Y 0.712 0.566 0.000
Y 0.866 0.338 0.000
Er 0.093 0.455 0.500
Er 0.136 0.864 0.500
Er 0.212 0.212 0.500
Er 0.341 0.659 0.500
Er 0.455 0.093 0.500
Er 0.500 0.500 0.500
Er 0.545 0.907 0.500
Er 0.659 0.341 0.500
Er 0.788 0.788 0.500
Er 0.864 0.136 0.500
Er 0.907 0.545 0.500

Peak list (8 most intense, 2θ from 10° to 80°, low angle first)
2θ/deg, d_spacing, I/Imax
30.1, 2.972, 17
30.3, 2.952, 48
30.5, 2.931, 10
31.0, 2.886, 16
32.4, 2.765, 100
34.2, 2.623, 11
49.4, 1.845, 12
59.0, 1.565, 15



For NdY7Er2, a cell relaxed with PBE gives the computed powder diffraction line list in this record (CuKα).

Atomic structure:
a b c (Å): 15.190 15.190 3.525
angles (deg): 90.19 90.19 156.54
Fractional coordinates of all 10 atoms:
Nd 0.000 0.000 0.000
Y 0.155 0.357 0.225
Y 0.292 0.708 0.000
Y 0.357 0.155 0.225
Y 0.500 0.500 0.500
Y 0.643 0.845 0.775
Y 0.708 0.292 0.000
Y 0.845 0.643 0.775
Er 0.192 0.808 0.500
Er 0.808 0.192 0.500

Peak list (8 most intense, 2θ from 10° to 80°, low angle first)
2θ/deg, d_spacing, I/Imax
30.0, 2.975, 92
30.4, 2.944, 48
30.8, 2.906, 100
31.4, 2.852, 66
32.7, 2.737, 51
34.2, 2.621, 61
36.3, 2.472, 48
68.5, 1.369, 32



For Nd2Y2Er7, a cell relaxed with PBE gives the computed powder diffraction line list in this record (CuKα).

Atomic structure:
a b c (Å): 8.035 8.035 6.078
angles (deg): 106.65 106.65 91.12
Fractional coordinates of all 11 atoms:
Nd 0.095 0.095 0.308
Nd 0.905 0.905 0.692
Y 0.289 0.711 0.000
Y 0.711 0.289 0.000
Er 0.089 0.563 0.322
Er 0.268 0.268 0.924
Er 0.437 0.911 0.678
Er 0.500 0.500 0.500
Er 0.563 0.089 0.322
Er 0.732 0.732 0.076
Er 0.911 0.437 0.678

Peak list (8 most intense, 2θ from 10° to 80°, low angle first)
2θ/deg, d_spacing, I/Imax
25.6, 3.484, 28
30.8, 2.907, 29
31.2, 2.868, 50
31.9, 2.808, 27
32.2, 2.778, 100
33.6, 2.664, 38
33.9, 2.643, 28
56.1, 1.639, 27